LiNiP3O9: computed PXRD pattern (Cu Kα), based on a cell relaxed with PBE+U.
Peak positions follow from Bragg's law for the DFT cell and can differ from measured ones.

Principal peaks in the range 5° ≤ 2θ ≤ 70°, sorted by position:
- 2θ = 15.9°, I 75, (1 0 0)
- 2θ = 24.4°, I 100, (1 0 2)
- 2θ = 29.3°, I 51, (1 1 1)
- 2θ = 33.5°, I 56, (1 1 2)
- 2θ = 37.3°, I 21, (0 0 4)
- 2θ = 49.1°, I 20, (3 0 0)
- 2θ = 50.1°, I 20, (2 0 4)
- 2θ = 58.3°, I 21, (2 1 4)

Cell and atoms:
Cell: 6.4214 6.4214 9.6377 Å, 90.00 90.00 120.00°
Space group P-6c2 (No. 188)
One atom of each set of equivalent atoms:
Li 0.0000 0.0000 0.0000 (multiplicity 2)
Ni 0.6667 0.3333 0.0000 (multiplicity 2)
P 0.0515 0.4176 0.2500 (multiplicity 6)
O 0.1226 0.4280 0.7500 (multiplicity 6)
O 0.3740 0.0705 0.1153 (multiplicity 12)